[1]
Calculated X-ray diffraction stick pattern
Compound: FeNi2Rh8
Radiation: Cu Kα (weighted mean of Kα1 and Kα2)
Structure: the PBE geometry in Alexandria

Atomic structure:
```
data_FeNi2Rh8
_cell_length_a 7.758
_cell_length_b 9.883
_cell_length_c 4.058
_cell_angle_alpha 90.00
_cell_angle_beta 90.00
_cell_angle_gamma 90.00
_symmetry_space_group_name_H-M 'C m m m'
_symmetry_Int_Tables_number 65
_symmetry_space_group_name_Hall '-C 2 2'
loop_
_atom_site_label
_atom_site_type_symbol
_atom_site_fract_x
_atom_site_fract_y
_atom_site_fract_z
Fe1 Fe 0.000 0.000 0.000
Ni1 Ni 0.000 0.383 0.500
Rh1 Rh 0.000 0.254 0.000
Rh2 Rh 0.167 0.133 0.500
Rh3 Rh 0.168 0.500 0.000
```

Main lines, in order of rising 2θ (10° ≤ 2θ ≤ 80°):
two_theta, I (rel.)
29.27, 14
31.92, 13
36.86, 26
42.45, 82
42.85, 100
44.54, 42
44.67, 45
58.80, 12
64.92, 26
77.20, 11

[2]
Calculated X-ray diffraction stick pattern
Compound: Fe4Ni7Rh
Radiation: Cu Kα (weighted mean of Kα1 and Kα2)
Structure: the PBE geometry in Alexandria

Atomic structure:
```
data_Fe4Ni7Rh
_cell_length_a 5.091
_cell_length_b 5.651
_cell_length_c 5.691
_cell_angle_alpha 95.86
_cell_angle_beta 116.56
_cell_angle_gamma 103.15
_symmetry_space_group_name_H-M 'P -1'
_symmetry_Int_Tables_number 2
loop_
_symmetry_equiv_pos_as_xyz
'x,y,z'
'-x,-y,-z'
loop_
_atom_site_label
_atom_site_type_symbol
_atom_site_fract_x
_atom_site_fract_y
_atom_site_fract_z
Fe1 Fe 0.011 0.327 0.348
Fe2 Fe 0.257 0.665 0.177
Ni1 Ni 0.000 0.000 0.000
Ni2 Ni 0.245 0.340 0.835
Ni3 Ni 0.247 0.999 0.493
Ni4 Ni 0.498 0.664 0.665
Rh1 Rh 0.500 0.000 0.000
```

Main lines, in order of rising 2θ (10° ≤ 2θ ≤ 80°):
two_theta, I (rel.)
16.57, 2
33.50, 2
43.63, 100
43.74, 100
50.72, 62
51.22, 31
74.56, 18
74.80, 9
74.97, 18
75.11, 9

[3]
Calculated X-ray diffraction stick pattern
Compound: FeNi2Rh
Radiation: Cu Kα (weighted mean of Kα1 and Kα2)
Structure: the PBE geometry in Alexandria

Atomic structure:
```
data_FeNi2Rh
_cell_length_a 5.820
_cell_length_b 5.820
_cell_length_c 5.820
_cell_angle_alpha 90.00
_cell_angle_beta 90.00
_cell_angle_gamma 90.00
_symmetry_space_group_name_H-M 'F -4 3 m'
_symmetry_Int_Tables_number 216
_symmetry_space_group_name_Hall 'F -4 2 3'
loop_
_atom_site_label
_atom_site_type_symbol
_atom_site_fract_x
_atom_site_fract_y
_atom_site_fract_z
Fe1 Fe 0.000 0.000 0.000
Ni1 Ni 0.000 0.000 0.500
Ni2 Ni 0.250 0.250 0.750
Rh1 Rh 0.250 0.250 0.250
```

Main lines, in order of rising 2θ (10° ≤ 2θ ≤ 80°):
two_theta, I (rel.)
26.53, 5
30.72, 3
44.01, 100
52.12, 2
54.63, 1
63.99, 15
70.53, 1
72.65, 1

[4]
Calculated X-ray diffraction stick pattern
Compound: Fe7Ni2Rh3
Radiation: Cu Kα (weighted mean of Kα1 and Kα2)
Structure: the PBE geometry in Alexandria

Atomic structure:
```
data_Fe7Ni2Rh3
_cell_length_a 4.070
_cell_length_b 19.856
_cell_length_c 4.095
_cell_angle_alpha 90.00
_cell_angle_beta 90.00
_cell_angle_gamma 90.00
_symmetry_space_group_name_H-M 'C m m m'
_symmetry_Int_Tables_number 65
_symmetry_space_group_name_Hall '-C 2 2'
loop_
_atom_site_label
_atom_site_type_symbol
_atom_site_fract_x
_atom_site_fract_y
_atom_site_fract_z
Fe1 Fe 0.000 0.000 0.000
Fe2 Fe 0.000 0.078 0.500
Fe3 Fe 0.000 0.279 0.000
Fe4 Fe 0.000 0.424 0.000
Ni1 Ni 0.000 0.150 0.000
Rh1 Rh 0.000 0.345 0.500
Rh2 Rh 0.000 0.500 0.500
```

Main lines, in order of rising 2θ (10° ≤ 2θ ≤ 80°):
two_theta, I (rel.)
22.30, 6
23.50, 6
31.31, 7
31.48, 6
33.88, 6
38.56, 18
44.23, 29
44.52, 28
44.79, 100
64.56, 18

[5]
Calculated X-ray diffraction stick pattern
Compound: Fe2Ni2Rh
Radiation: Cu Kα (weighted mean of Kα1 and Kα2)
Structure: the PBE geometry in Alexandria

Atomic structure:
```
data_Fe2Ni2Rh
_cell_length_a 6.741
_cell_length_b 6.741
_cell_length_c 2.709
_cell_angle_alpha 90.00
_cell_angle_beta 90.00
_cell_angle_gamma 90.00
_symmetry_space_group_name_H-M 'P 4/m b m'
_symmetry_Int_Tables_number 127
_symmetry_space_group_name_Hall '-P 4 2ab'
loop_
_atom_site_label
_atom_site_type_symbol
_atom_site_fract_x
_atom_site_fract_y
_atom_site_fract_z
Fe1 Fe 0.172 0.328 0.000
Ni1 Ni 0.126 0.626 0.500
Rh1 Rh 0.000 0.000 0.500
```

Main lines, in order of rising 2θ (10° ≤ 2θ ≤ 80°):
two_theta, I (rel.)
33.07, 13
37.75, 27
38.22, 11
42.40, 97
42.83, 53
44.99, 100
48.70, 12
54.80, 24
61.52, 10
69.39, 12

[6]
Calculated X-ray diffraction stick pattern
Compound: FeNi4Ru
Radiation: Cu Kα (weighted mean of Kα1 and Kα2)
Structure: the PBE geometry in Alexandria

Atomic structure:
```
data_FeNi4Ru
_cell_length_a 4.424
_cell_length_b 5.093
_cell_length_c 6.703
_cell_angle_alpha 100.54
_cell_angle_beta 96.50
_cell_angle_gamma 107.21
_symmetry_space_group_name_H-M 'P -1'
_symmetry_Int_Tables_number 2
loop_
_symmetry_equiv_pos_as_xyz
'x,y,z'
'-x,-y,-z'
loop_
_atom_site_label
_atom_site_type_symbol
_atom_site_fract_x
_atom_site_fract_y
_atom_site_fract_z
Fe1 Fe 0.244 0.284 0.420
Ni1 Ni 0.246 0.118 0.746
Ni2 Ni 0.249 0.623 0.736
Ni3 Ni 0.252 0.964 0.085
Ni4 Ni 0.254 0.792 0.415
Ru1 Ru 0.249 0.460 0.079
```

Main lines, in order of rising 2θ (10° ≤ 2θ ≤ 80°):
two_theta, I (rel.)
13.66, 3
18.73, 2
43.57, 100
43.64, 33
50.40, 21
50.96, 41
74.48, 18
74.54, 6
74.83, 6
75.06, 6